No. 1
Starting from a GGA+U-relaxed structure, the powder X-ray diffraction pattern of Li2MnP2O7 was calculated for Cu Kα.

Lattice parameters (Å, degrees): 7.3636 8.6193 9.7408 90.00 109.39 90.00
Atoms (fractional coordinates):
1 Li 0.0860 0.0000 0.3558
2 Li 0.2603 0.6674 0.8897
3 Li 0.3528 0.6923 0.3732
4 Li 0.3716 0.9644 0.8621
5 Li 0.6284 0.4644 0.1379
6 Li 0.6472 0.1923 0.6268
7 Li 0.7397 0.1674 0.1103
8 Li 0.9140 0.5000 0.6442
9 Mn 0.9998 0.0634 0.7545
10 Mn 0.0002 0.5634 0.2455
11 Mn 0.4871 0.0590 0.2500
12 Mn 0.5129 0.5590 0.7500
13 P 0.0884 0.7669 0.5706
14 P 0.0986 0.8568 0.0677
15 P 0.3251 0.3115 0.9641
16 P 0.3356 0.3244 0.4604
17 P 0.6644 0.8244 0.5396
18 P 0.6749 0.8115 0.0359
19 P 0.9014 0.3568 0.9323
20 P 0.9116 0.2669 0.4294
21 O 0.1057 0.7660 0.4174
22 O 0.1347 0.3625 0.0000
23 O 0.1378 0.2305 0.4504
24 O 0.1462 0.9261 0.6412
25 O 0.1565 0.8749 0.9305
26 O 0.1598 0.6982 0.1395
27 O 0.1647 0.9919 0.1758
28 O 0.1809 0.6289 0.6690
29 O 0.2719 0.1815 0.8518
30 O 0.2758 0.4671 0.3634
31 O 0.3999 0.4631 0.9192
32 O 0.4462 0.3582 0.6207
33 O 0.4504 0.2010 0.4128
34 O 0.4746 0.2622 0.1100
35 O 0.5254 0.7622 0.8900
36 O 0.5496 0.7010 0.5872
37 O 0.5538 0.8582 0.3793
38 O 0.6001 0.9631 0.0808
39 O 0.7242 0.9671 0.6366
40 O 0.7281 0.6815 0.1482
41 O 0.8191 0.1289 0.3310
42 O 0.8353 0.4919 0.8242
43 O 0.8402 0.1982 0.8605
44 O 0.8435 0.3749 0.0695
45 O 0.8538 0.4261 0.3588
46 O 0.8622 0.7305 0.5496
47 O 0.8653 0.8625 0.0000
48 O 0.8943 0.2660 0.5826

Top 10 peaks for 10 to 90 degrees two-theta, by intensity:
| 2θ (°) | I (rel.) | hkl |
| --- | --- | --- |
| 28.40 | 100.0 | 0 2 2 |
| 16.73 | 97.8 | 1 1 -1 |
| 21.92 | 53.9 | 1 1 -2 |
| 27.69 | 52.9 | 2 1 0 |
| 21.11 | 29.7 | 1 1 1 |
| 29.57 | 23.9 | 1 1 -3 |
| 28.53 | 21.8 | 2 1 -2 |
| 37.28 | 19.8 | 2 0 2 |
| 44.68 | 17.5 | 3 1 1 |
| 57.21 | 14.3 | 1 3 -5 |

No. 2
Starting from a GGA+U-relaxed structure, the powder X-ray diffraction pattern of LiMoPO5 was calculated for Cu Kα.

Lattice parameters (Å, degrees): 7.4894 6.6537 7.5277 90.00 90.00 90.00
Atoms (fractional coordinates):
1 Li 0.0000 0.0000 0.0000
2 Li 0.0000 0.5000 0.0000
3 Li 0.5000 0.0000 0.5000
4 Li 0.5000 0.5000 0.5000
5 Mo 0.1416 0.2500 0.2703
6 Mo 0.3584 0.7500 0.7703
7 Mo 0.6416 0.2500 0.2297
8 Mo 0.8584 0.7500 0.7297
9 P 0.1297 0.7500 0.3655
10 P 0.3703 0.2500 0.8655
11 P 0.6297 0.7500 0.1345
12 P 0.8703 0.2500 0.6345
13 O 0.0430 0.2500 0.5237
14 O 0.1035 0.7500 0.8259
15 O 0.1327 0.5644 0.2409
16 O 0.1327 0.9356 0.2409
17 O 0.2002 0.2500 0.9856
18 O 0.2998 0.7500 0.4856
19 O 0.3673 0.0644 0.7409
20 O 0.3673 0.4356 0.7409
21 O 0.3965 0.2500 0.3259
22 O 0.4570 0.7500 0.0237
23 O 0.5430 0.2500 0.9763
24 O 0.6035 0.7500 0.6741
25 O 0.6327 0.5644 0.2591
26 O 0.6327 0.9356 0.2591
27 O 0.7002 0.2500 0.5144
28 O 0.7998 0.7500 0.0144
29 O 0.8673 0.0644 0.7591
30 O 0.8673 0.4356 0.7591
31 O 0.8965 0.2500 0.1741
32 O 0.9570 0.7500 0.4763

Top 10 peaks for 10 to 90 degrees two-theta, by intensity:
| 2θ (°) | I (rel.) | hkl |
| --- | --- | --- |
| 26.58 | 100.0 | 2 0 1 |
| 17.79 | 61.4 | 0 1 1 |
| 26.80 | 54.4 | 0 2 0 |
| 23.64 | 34.9 | 0 0 2 |
| 38.11 | 22.4 | 2 2 1 |
| 56.43 | 21.9 | 2 1 4 |
| 55.25 | 21.2 | 0 4 0 |
| 38.34 | 21.0 | 0 1 3 |
| 42.49 | 17.0 | 0 3 1 |
| 43.42 | 15.3 | 2 0 3 |